# 1
This entry pairs a crystal structure of CuPdRh2N with its simulated X-ray diffraction stick pattern. Radiation: Cu Kα, 1.54184 Å. Structure: the GGA-PBE geometry in Alexandria.
Neutral-atom scattering factors, no anomalous dispersion.

Largest 9 diffraction maxima, by intensity, 5 to 70 degrees two-theta:
d [Å]  I_rel
2.320  100
2.012  37
1.420  23
2.005  18
1.422  11
2.840  4
4.014  3
1.641  1
1.798  1

Crystal structure
```
CuPdRh2N
1.0
4.0232 0.0000 0.0000
0.0000 4.0232 0.0000
0.0000 0.0000 4.0101
Cu Pd Rh N
1 1 2 1
Cartesian
0.0000 0.0000 0.0000
2.0116 2.0116 0.0000
0.0000 2.0116 2.0050
2.0116 0.0000 2.0050
0.0000 0.0000 2.0050
```

---

# 2
This entry pairs a crystal structure of SrPrCuN2 with its simulated X-ray diffraction stick pattern. Radiation: Cu Kα, 1.54184 Å. Structure: the GGA-PBE geometry in Alexandria.
Neutral-atom scattering factors, no anomalous dispersion.

Largest 10 diffraction maxima, by intensity, 5 to 70 degrees two-theta:
d [Å]  I_rel
2.565  100
3.849  42
5.458  31
2.729  25
1.925  24
2.715  24
1.542  21
1.537  20
1.719  13
2.906  12

Crystal structure
```
SrPrCuN2
1.0
5.4292 0.0000 0.0000
0.0000 5.4589 0.0000
0.0000 0.0000 6.8789
Sr Pr Cu N
2 2 2 4
Cartesian
0.0000 0.0000 1.7197
0.0000 0.0000 5.1592
2.7146 2.7294 1.7197
2.7146 2.7294 5.1592
0.0000 2.7294 0.0000
0.0000 2.7294 3.4395
1.4171 1.5183 0.0000
1.4171 3.9406 3.4395
4.0121 1.5183 3.4395
4.0121 3.9406 0.0000
```

---

# 3
This entry pairs a crystal structure of CuPtN with its simulated X-ray diffraction stick pattern. Radiation: Cu Kα, 1.54184 Å. Structure: the GGA-PBE geometry in Alexandria.
Neutral-atom scattering factors, no anomalous dispersion.

Largest 10 diffraction maxima, by intensity, 5 to 70 degrees two-theta:
d [Å]  I_rel
2.467  100
2.373  87
4.614  62
2.008  52
1.515  39
2.307  30
1.841  27
1.810  20
2.768  19
1.772  16

Crystal structure
```
CuPtN
1.0
2.7678 0.0000 0.0000
0.0000 2.9186 0.0000
0.0000 0.0000 4.6138
Cu Pt N
1 1 1
Cartesian
0.0000 0.0000 0.0000
1.3839 1.4593 1.9030
1.3839 0.0000 3.2704
```